1.
Structure and calculated powder X-ray diffraction pattern of Ca2B10Ru (a DFT-relaxed cell (PBE, Alexandria); Cu Kα (λ = 1.5418 Å)).

Structural model:
Cell lengths 5.7171, 11.4913, 4.1985 Å; angles 90.00, 90.00, 90.00 degrees
Positions (direct):
Ca  0.2092  0.1356  0.0000
Ca  0.2908  0.6356  0.0000
Ca  0.7092  0.3644  0.0000
Ca  0.7908  0.8644  0.0000
B  0.0542  0.3083  0.5000
B  0.1171  0.9554  0.5000
B  0.1392  0.8020  0.5000
B  0.2185  0.3807  0.1978
B  0.2185  0.3807  0.8022
B  0.2815  0.8807  0.1978
B  0.2815  0.8807  0.8022
B  0.3608  0.3020  0.5000
B  0.3829  0.4554  0.5000
B  0.4458  0.8083  0.5000
B  0.5542  0.1917  0.5000
B  0.6171  0.5446  0.5000
B  0.6392  0.6980  0.5000
B  0.7185  0.1193  0.1978
B  0.7185  0.1193  0.8022
B  0.7815  0.6193  0.1978
B  0.7815  0.6193  0.8022
B  0.8608  0.1980  0.5000
B  0.8829  0.0446  0.5000
B  0.9458  0.6917  0.5000
Ru  0.0000  0.5000  0.5000
Ru  0.5000  0.0000  0.5000

Principal peaks in the range 10° ≤ 2θ ≤ 90°, in order of falling intensity:
| two_theta | I_rel |
| --- | --- |
| 27.48 | 100.0 |
| 17.32 | 94.6 |
| 37.95 | 79.8 |
| 38.08 | 71.4 |
| 15.42 | 57.9 |
| 30.66 | 53.2 |

=====

2.
Structure and calculated powder X-ray diffraction pattern of La5Ag (a DFT-relaxed cell (PBE, Alexandria); Cu Kα (λ = 1.5418 Å)).

Structural model:
Cell lengths 3.7766, 3.7766, 14.1356 Å; angles 90.00, 90.00, 90.00 degrees
Positions (direct):
La  0.0000  0.0000  0.0000
La  0.0000  0.0000  0.3632
La  0.0000  0.0000  0.6368
La  0.5000  0.5000  0.1841
La  0.5000  0.5000  0.8159
Ag  0.5000  0.5000  0.5000

Principal peaks in the range 10° ≤ 2θ ≤ 90°, in order of falling intensity:
| two_theta | I_rel |
| --- | --- |
| 30.33 | 100.0 |
| 33.56 | 44.3 |
| 58.01 | 31.3 |
| 48.19 | 15.9 |
| 51.74 | 14.2 |
| 63.10 | 8.4 |

=====

3.
Structure and calculated powder X-ray diffraction pattern of Mg2Pa3Pt8 (a DFT-relaxed cell (PBE, Alexandria); Cu Kα (λ = 1.5418 Å)).

Structural model:
Cell lengths 10.7143, 10.7143, 10.7143 Å; angles 29.86, 29.86, 29.86 degrees
Positions (direct):
Mg  0.1078  0.1078  0.1078
Mg  0.8922  0.8922  0.8922
Pa  0.2771  0.2771  0.2771
Pa  0.5000  0.5000  0.5000
Pa  0.7229  0.7229  0.7229
Pt  0.1894  0.1894  0.1894
Pt  0.2076  0.2076  0.7001
Pt  0.2076  0.7001  0.2076
Pt  0.2999  0.7924  0.7924
Pt  0.7001  0.2076  0.2076
Pt  0.7924  0.2999  0.7924
Pt  0.7924  0.7924  0.2999
Pt  0.8106  0.8106  0.8106

Principal peaks in the range 10° ≤ 2θ ≤ 90°, in order of falling intensity:
| two_theta | I_rel |
| --- | --- |
| 38.10 | 100.0 |
| 26.13 | 81.9 |
| 40.50 | 79.0 |
| 48.26 | 74.1 |
| 33.63 | 59.5 |
| 42.72 | 48.8 |

=====

4.
Structure and calculated powder X-ray diffraction pattern of InHgPbAu2 (a DFT-relaxed cell (PBE, Alexandria); Cu Kα (λ = 1.5418 Å)).

Structural model:
Cell lengths 7.7046, 7.7046, 8.5070 Å; angles 115.76, 115.76, 34.17 degrees
Positions (direct):
In  0.0399  0.0399  0.2274
In  0.9601  0.9601  0.7726
Hg  0.3780  0.3780  0.1835
Hg  0.6220  0.6220  0.8165
Pb  0.2433  0.2433  0.6737
Pb  0.7567  0.7567  0.3263
Au  0.1619  0.1619  0.0551
Au  0.4076  0.4076  0.5491
Au  0.5924  0.5924  0.4509
Au  0.8381  0.8381  0.9449

Principal peaks in the range 10° ≤ 2θ ≤ 90°, in order of falling intensity:
| two_theta | I_rel |
| --- | --- |
| 39.83 | 100.0 |
| 33.85 | 99.7 |
| 37.69 | 97.4 |
| 34.26 | 82.9 |
| 29.07 | 76.8 |
| 26.66 | 65.2 |

=====

5.
Structure and calculated powder X-ray diffraction pattern of NpGe2PtRh2 (a DFT-relaxed cell (PBE, Alexandria); Cu Kα (λ = 1.5418 Å)).

Structural model:
Cell lengths 4.6816, 4.6816, 5.5062 Å; angles 90.00, 90.00, 90.00 degrees
Positions (direct):
Np  0.0000  0.0000  0.0000
Ge  0.0000  0.5000  0.5000
Ge  0.5000  0.0000  0.5000
Pt  0.0000  0.0000  0.5000
Rh  0.5000  0.5000  0.2430
Rh  0.5000  0.5000  0.7570

Principal peaks in the range 10° ≤ 2θ ≤ 90°, in order of falling intensity:
| two_theta | I_rel |
| --- | --- |
| 37.91 | 100.0 |
| 38.46 | 73.8 |
| 26.93 | 71.1 |
| 55.11 | 68.4 |
| 18.96 | 29.2 |
| 55.52 | 25.5 |

=====

6.
Structure and calculated powder X-ray diffraction pattern of Lu2ThSb (a DFT-relaxed cell (PBE, Alexandria); Cu Kα (λ = 1.5418 Å)).

Structural model:
Cell lengths 3.8728, 3.8728, 7.3681 Å; angles 90.00, 90.00, 90.00 degrees
Positions (direct):
Lu  0.0000  0.0000  0.2197
Lu  0.0000  0.0000  0.7803
Th  0.5000  0.5000  0.5000
Sb  0.5000  0.5000  0.0000

Principal peaks in the range 10° ≤ 2θ ≤ 90°, in order of falling intensity:
| two_theta | I_rel |
| --- | --- |
| 33.57 | 100.0 |
| 32.70 | 57.7 |
| 58.92 | 40.4 |
| 46.92 | 21.3 |
| 60.58 | 14.9 |
| 25.99 | 11.9 |